[1]
For LiMn2PO5, a cell relaxed with GGA+U gives the simulated powder diffraction line list in this record (Cu Kα, 1.54184 Å).
Kinematic intensities with the Lorentz-polarization factor, no thermal factor.

Unit cell a=8.6460 b=7.8291 c=6.4559 alpha=90.00 beta=90.00 gamma=90.00
Atoms (fractional coordinates):
Li 0.1134 0.1598 0.0000
Li 0.3866 0.6598 0.5000
Li 0.6134 0.3402 0.0000
Li 0.8866 0.8402 0.5000
Mn 0.0023 0.4892 0.4383
Mn 0.1660 0.8751 0.7084
Mn 0.3340 0.3751 0.2084
Mn 0.4977 0.9892 0.9383
Mn 0.5023 0.0108 0.4383
Mn 0.6660 0.6249 0.7084
Mn 0.8340 0.1249 0.2084
Mn 0.9977 0.5108 0.9383
P 0.1574 0.8390 0.2122
P 0.3426 0.3390 0.7122
P 0.6574 0.6610 0.2122
P 0.8426 0.1610 0.7122
O 0.0016 0.9292 0.2530
O 0.0117 0.6787 0.6801
O 0.1305 0.6450 0.1812
O 0.2337 0.3630 0.9031
O 0.2365 0.9225 0.0193
O 0.2635 0.4225 0.5193
O 0.2663 0.8630 0.4031
O 0.3695 0.1450 0.6812
O 0.4883 0.1787 0.1801
O 0.4984 0.4292 0.7530
O 0.5016 0.5708 0.2530
O 0.5117 0.8213 0.6801
O 0.6305 0.8550 0.1812
O 0.7337 0.1370 0.9031
O 0.7365 0.5775 0.0193
O 0.7635 0.0775 0.5193
O 0.7663 0.6370 0.4031
O 0.8695 0.3550 0.6812
O 0.9883 0.3213 0.1801
O 0.9984 0.0708 0.7530

Peak list (10 most intense, 10 to 90 degrees two-theta, in order of falling intensity)
- 2θ = 25.0°, rel. 100.0
- 2θ = 31.7°, rel. 89.6
- 2θ = 23.5°, rel. 74.1
- 2θ = 33.1°, rel. 57.7
- 2θ = 36.6°, rel. 55.1
- 2θ = 55.4°, rel. 44.2
- 2θ = 41.3°, rel. 29.4
- 2θ = 36.1°, rel. 28.0
- 2θ = 15.3°, rel. 22.7
- 2θ = 30.8°, rel. 21.8

***

[2]
For Li3Mn3P4O16, a cell relaxed with GGA+U gives the simulated powder diffraction line list in this record (Cu Kα, 1.54184 Å).
Kinematic intensities with the Lorentz-polarization factor, no thermal factor.

Unit cell a=9.9383 b=9.9383 c=10.4911 alpha=90.43 beta=90.43 gamma=39.69
Atoms (fractional coordinates):
Li 0.0000 0.0000 0.0000
Li 0.2333 0.6208 0.6994
Li 0.3792 0.7667 0.3006
Li 0.4884 0.3721 0.1996
Li 0.6279 0.5116 0.8004
Li 0.8895 0.1105 0.5000
Mn 0.0781 0.2352 0.9967
Mn 0.1231 0.1903 0.4973
Mn 0.4443 0.0553 0.7502
Mn 0.7648 0.9219 0.0033
Mn 0.8097 0.8769 0.5027
Mn 0.9447 0.5557 0.2498
P 0.0273 0.8109 0.2474
P 0.1891 0.9727 0.7526
P 0.2235 0.3828 0.9997
P 0.2715 0.3357 0.4999
P 0.6172 0.7765 0.0003
P 0.6643 0.7285 0.5001
P 0.7006 0.1378 0.7481
P 0.8622 0.2994 0.2519
O 0.0314 0.1390 0.8601
O 0.0306 0.1404 0.3596
O 0.0761 0.0783 0.6209
O 0.0859 0.6071 0.9645
O 0.0892 0.6106 0.2469
O 0.1259 0.3586 0.1071
O 0.1403 0.5572 0.5425
O 0.1663 0.3231 0.3926
O 0.2112 0.2784 0.8917
O 0.2283 0.7344 0.2223
O 0.2466 0.2380 0.6076
O 0.2656 0.7717 0.7777
O 0.3894 0.9108 0.7531
O 0.3929 0.9141 0.0355
O 0.4428 0.8597 0.4575
O 0.4453 0.2531 0.0412
O 0.4961 0.1968 0.4658
O 0.5010 0.1989 0.7465
O 0.6281 0.3357 0.7238
O 0.6414 0.8741 0.8929
O 0.6643 0.3719 0.2762
O 0.6769 0.8337 0.6074
O 0.7216 0.7888 0.1083
O 0.7469 0.5547 0.9588
O 0.7620 0.7534 0.3924
O 0.8011 0.4990 0.2535
O 0.8032 0.5039 0.5342
O 0.8133 0.0325 0.8793
O 0.8596 0.9694 0.6404
O 0.8610 0.9686 0.1399
O 0.9217 0.9239 0.3791
O 0.9675 0.1867 0.1207

Peak list (10 most intense, 10 to 90 degrees two-theta, in order of falling intensity)
- 2θ = 16.3°, rel. 100.0
- 2θ = 31.5°, rel. 57.0
- 2θ = 14.0°, rel. 51.3
- 2θ = 19.3°, rel. 30.7
- 2θ = 29.2°, rel. 27.5
- 2θ = 34.2°, rel. 21.0
- 2θ = 33.3°, rel. 20.6
- 2θ = 33.6°, rel. 17.6
- 2θ = 53.3°, rel. 16.8
- 2θ = 19.5°, rel. 16.6

***

[3]
For LiMn2P3O10, a cell relaxed with GGA+U gives the simulated powder diffraction line list in this record (Cu Kα, 1.54184 Å).
Kinematic intensities with the Lorentz-polarization factor, no thermal factor.

Unit cell a=8.2985 b=8.2985 c=9.1056 alpha=117.66 beta=117.66 gamma=63.19
Atoms (fractional coordinates):
Li 0.0889 0.9111 0.7500
Li 0.9111 0.0889 0.2500
Mn 0.2084 0.2522 0.0457
Mn 0.2522 0.2084 0.5457
Mn 0.7478 0.7916 0.4543
Mn 0.7916 0.7478 0.9543
P 0.0695 0.6747 0.3164
P 0.3253 0.9305 0.1836
P 0.4195 0.5805 0.2500
P 0.5805 0.4195 0.7500
P 0.6747 0.0695 0.8164
P 0.9305 0.3253 0.6836
O 0.0313 0.7439 0.4887
O 0.0568 0.4737 0.2021
O 0.0605 0.1799 0.7831
O 0.1799 0.0605 0.2831
O 0.2561 0.9687 0.0113
O 0.2878 0.6754 0.3734
O 0.3246 0.7122 0.1266
O 0.3844 0.4046 0.6299
O 0.4046 0.3844 0.1299
O 0.4737 0.0568 0.7021
O 0.5263 0.9432 0.2979
O 0.5954 0.6156 0.8701
O 0.6156 0.5954 0.3701
O 0.6754 0.2878 0.8734
O 0.7122 0.3246 0.6266
O 0.7439 0.0313 0.9887
O 0.8201 0.9395 0.7169
O 0.9395 0.8201 0.2169
O 0.9432 0.5263 0.7979
O 0.9687 0.2561 0.5113

Peak list (10 most intense, 10 to 90 degrees two-theta, in order of falling intensity)
- 2θ = 28.5°, rel. 100.0
- 2θ = 14.1°, rel. 75.9
- 2θ = 19.8°, rel. 61.5
- 2θ = 22.6°, rel. 54.3
- 2θ = 21.5°, rel. 43.4
- 2θ = 24.8°, rel. 38.8
- 2θ = 33.0°, rel. 31.9
- 2θ = 33.4°, rel. 25.7
- 2θ = 14.9°, rel. 18.6
- 2θ = 41.1°, rel. 18.5

***

[4]
For LiMnPO4, a cell relaxed with GGA+U gives the simulated powder diffraction line list in this record (Cu Kα, 1.54184 Å).
Kinematic intensities with the Lorentz-polarization factor, no thermal factor.

Unit cell a=5.7850 b=7.8211 c=8.7593 alpha=105.80 beta=98.41 gamma=97.89
Atoms (fractional coordinates):
Li 0.0243 0.3328 0.2565
Li 0.2071 0.1015 0.5425
Li 0.7929 0.8985 0.4575
Li 0.9757 0.6672 0.7435
Mn 0.3865 0.0432 0.1694
Mn 0.4981 0.5129 0.2360
Mn 0.5019 0.4871 0.7640
Mn 0.6135 0.9568 0.8306
P 0.1798 0.1729 0.9023
P 0.2843 0.7189 0.5367
P 0.7157 0.2811 0.4633
P 0.8202 0.8271 0.0977
O 0.0864 0.8670 0.1635
O 0.0964 0.8391 0.5358
O 0.2366 0.2894 0.0873
O 0.2486 0.5626 0.3769
O 0.2720 0.6349 0.6805
O 0.2838 0.9986 0.9045
O 0.3186 0.2673 0.7997
O 0.4580 0.1667 0.4258
O 0.5420 0.8333 0.5742
O 0.6814 0.7327 0.2003
O 0.7162 0.0014 0.0955
O 0.7280 0.3651 0.3195
O 0.7514 0.4374 0.6231
O 0.7634 0.7106 0.9127
O 0.9036 0.1609 0.4642
O 0.9136 0.1330 0.8365

Peak list (10 most intense, 10 to 90 degrees two-theta, in order of falling intensity)
- 2θ = 15.8°, rel. 100.0
- 2θ = 26.8°, rel. 93.6
- 2θ = 21.2°, rel. 80.3
- 2θ = 20.9°, rel. 66.3
- 2θ = 27.1°, rel. 65.8
- 2θ = 27.7°, rel. 62.8
- 2θ = 31.3°, rel. 62.6
- 2θ = 13.5°, rel. 59.4
- 2θ = 24.1°, rel. 46.3
- 2θ = 32.5°, rel. 38.4